[1]
Computed X-ray powder pattern
Compound: CrNi4Pt7
Radiation: Cu Kα (weighted mean of Kα1 and Kα2)
Structure: a crystal structure in Alexandria, relaxed with GGA-PBE
Peak positions follow from Bragg's law for the DFT cell and can differ from measured ones.

Structural model:
```
CrNi4Pt7
1.0
4.731 0.000 0.000
0.068 5.389 0.000
2.278 1.445 6.612
Cr Ni Pt
1 4 7
direct
0.000 0.000 0.000
0.168 0.417 0.336
0.342 0.833 0.664
0.658 0.167 0.336
0.832 0.583 0.664
0.000 0.500 0.000
0.163 0.919 0.339
0.325 0.333 0.665
0.492 0.751 0.998
0.508 0.249 0.002
0.675 0.667 0.335
0.837 0.081 0.661
```

Peak list (10 most intense, 2θ from 10° to 90°, sorted by position)
- d = 3.747 Å, 2θ = 23.7°, rel. 16
- d = 3.254 Å, 2θ = 27.4°, rel. 16
- d = 2.215 Å, 2θ = 40.7°, rel. 100
- d = 2.210 Å, 2θ = 40.8°, rel. 50
- d = 2.204 Å, 2θ = 40.9°, rel. 49
- d = 1.938 Å, 2θ = 46.9°, rel. 33
- d = 1.922 Å, 2θ = 47.3°, rel. 33
- d = 1.885 Å, 2θ = 48.3°, rel. 31
- d = 1.160 Å, 2θ = 83.3°, rel. 12
- d = 1.142 Å, 2θ = 84.9°, rel. 18

***

[2]
Computed X-ray powder pattern
Compound: CrNi6Pt
Radiation: Cu Kα (weighted mean of Kα1 and Kα2)
Structure: a crystal structure in Alexandria, relaxed with GGA-PBE
Peak positions follow from Bragg's law for the DFT cell and can differ from measured ones.

Structural model:
```
CrNi6Pt
1.0
0.000 3.565 5.094
2.571 0.000 5.094
2.571 3.565 0.000
Cr Ni Pt
1 6 1
direct
0.000 0.000 0.000
0.128 0.128 0.372
0.246 0.246 0.754
0.372 0.372 0.128
0.628 0.628 0.872
0.754 0.754 0.246
0.872 0.872 0.628
0.500 0.500 0.500
```

Peak list (10 most intense, 2θ from 10° to 90°, sorted by position)
- d = 5.094 Å, 2θ = 17.4°, rel. 13
- d = 3.860 Å, 2θ = 23.0°, rel. 45
- d = 2.633 Å, 2θ = 34.0°, rel. 21
- d = 2.085 Å, 2θ = 43.4°, rel. 100
- d = 2.072 Å, 2θ = 43.7°, rel. 98
- d = 1.809 Å, 2θ = 50.4°, rel. 63
- d = 1.782 Å, 2θ = 51.3°, rel. 30
- d = 1.286 Å, 2θ = 73.7°, rel. 12
- d = 1.270 Å, 2θ = 74.8°, rel. 37
- d = 1.092 Å, 2θ = 89.8°, rel. 24

***

[3]
Computed X-ray powder pattern
Compound: CrNi7Sb2Pt2
Radiation: Cu Kα (weighted mean of Kα1 and Kα2)
Structure: a crystal structure in Alexandria, relaxed with GGA-PBE
Peak positions follow from Bragg's law for the DFT cell and can differ from measured ones.

Structural model:
```
CrNi7Sb2Pt2
1.0
2.475 -2.475 0.000
2.475 2.475 0.000
-2.431 0.000 13.740
Cr Ni Sb Pt
1 7 2 2
direct
0.000 0.000 0.000
0.061 0.562 0.125
0.270 0.270 0.538
0.438 0.939 0.875
0.500 0.500 0.000
0.562 0.061 0.125
0.730 0.730 0.462
0.939 0.438 0.875
0.177 0.177 0.360
0.823 0.823 0.640
0.370 0.370 0.734
0.630 0.630 0.266
```

Peak list (10 most intense, 2θ from 10° to 90°, sorted by position)
- d = 6.870 Å, 2θ = 12.9°, rel. 42
- d = 2.952 Å, 2θ = 30.3°, rel. 68
- d = 2.475 Å, 2θ = 36.3°, rel. 85
- d = 2.436 Å, 2θ = 36.9°, rel. 64
- d = 2.301 Å, 2θ = 39.1°, rel. 68
- d = 2.178 Å, 2θ = 41.5°, rel. 65
- d = 2.036 Å, 2θ = 44.5°, rel. 67
- d = 2.031 Å, 2θ = 44.6°, rel. 67
- d = 2.009 Å, 2θ = 45.1°, rel. 62
- d = 1.750 Å, 2θ = 52.3°, rel. 100

***

[4]
Computed X-ray powder pattern
Compound: CrReNi14
Radiation: Cu Kα (weighted mean of Kα1 and Kα2)
Structure: a crystal structure in Alexandria, relaxed with GGA-PBE
Peak positions follow from Bragg's law for the DFT cell and can differ from measured ones.

Structural model:
```
CrReNi14
1.0
5.033 0.000 0.000
0.000 5.033 0.000
0.000 0.000 7.053
Cr Re Ni
1 1 14
direct
0.000 0.000 0.000
0.500 0.500 0.000
0.000 0.000 0.500
0.000 0.500 0.000
0.000 0.500 0.500
0.249 0.249 0.251
0.249 0.249 0.749
0.249 0.751 0.251
0.249 0.751 0.749
0.500 0.000 0.000
0.500 0.000 0.500
0.500 0.500 0.500
0.751 0.249 0.251
0.751 0.249 0.749
0.751 0.751 0.251
0.751 0.751 0.749
```

Peak list (10 most intense, 2θ from 10° to 90°, sorted by position)
- d = 7.053 Å, 2θ = 12.6°, rel. 4
- d = 5.033 Å, 2θ = 17.6°, rel. 6
- d = 4.097 Å, 2θ = 21.7°, rel. 8
- d = 2.888 Å, 2θ = 31.0°, rel. 3
- d = 2.144 Å, 2θ = 42.1°, rel. 3
- d = 2.048 Å, 2θ = 44.2°, rel. 100
- d = 1.780 Å, 2θ = 51.3°, rel. 31
- d = 1.763 Å, 2θ = 51.9°, rel. 15
- d = 1.258 Å, 2θ = 75.6°, rel. 9
- d = 1.253 Å, 2θ = 76.0°, rel. 18